Calculated powder X-ray diffraction pattern
Compound: Hf7Ni10
Radiation: λ = 1.5418 Å (Cu Kα)
Structure: a crystal structure in Alexandria, relaxed with GGA-PBE
Lines closer than 0.1° are merged.

Unit cell a=12.2867 b=9.0885 c=9.1369 alpha=90.00 beta=90.00 gamma=90.00
Space group Cmce (No. 64)
Asymmetric unit:
Hf: 0.0000 0.0000 0.0000 (multiplicity 4)
Hf: 0.0000 0.1856 0.3140 (multiplicity 8)
Hf: 0.1933 0.0000 0.5000 (multiplicity 8)
Hf: 0.2500 0.2459 0.2500 (multiplicity 8)
Ni: 0.0000 0.1071 0.6043 (multiplicity 8)
Ni: 0.1441 0.0088 0.7913 (multiplicity 16)
Ni: 0.1451 0.2086 0.0067 (multiplicity 16)

Most intense lines, 2θ from 15° to 90°, in order of falling intensity:
(4 2 2), 2.223 Å, rel. 100; (3 3 1), 2.353 Å, rel. 52; (3 1 3), 2.360 Å, rel. 52; (0 2 2), 3.222 Å, rel. 37; (0 0 4), 2.284 Å, rel. 27; (0 4 0), 2.272 Å, rel. 26; (0 4 4), 1.611 Å, rel. 22; (4 0 0), 3.072 Å, rel. 16; (1 3 3), 2.116 Å, rel. 16; (2 0 4), 2.141 Å, rel. 15